# 1
Structure and computed X-ray powder pattern of Pr2NpTcN5 (a crystal structure in Alexandria, relaxed with PBE; Cu Kα).
No peak broadening, texture or thermal motion is included.

```
data_Pr2NpTcN5
_cell_length_a 3.505
_cell_length_b 13.795
_cell_length_c 10.608
_cell_angle_alpha 90.00
_cell_angle_beta 90.00
_cell_angle_gamma 90.00
_space_group_name_H-M_alt 'C m c 21'
_space_group_IT_number 36
loop_
_space_group_symop_operation_xyz
'x,y,z'
'-x,-y,z+1/2'
'-x,y,z'
'x,-y,z+1/2'
'x+1/2,y+1/2,z'
'-x+1/2,-y+1/2,z+1/2'
'-x+1/2,y+1/2,z'
'x+1/2,-y+1/2,z+1/2'
loop_
_atom_site_label
_atom_site_type_symbol
_atom_site_fract_x
_atom_site_fract_y
_atom_site_fract_z
Pr1 Pr 0.000 0.106 0.000
Pr2 Pr 0.000 0.139 0.623
Np1 Np 0.000 0.207 0.327
Tc1 Tc 0.000 0.477 0.774
N1 N 0.000 0.043 0.352
N2 N 0.000 0.283 0.960
N3 N 0.000 0.321 0.703
N4 N 0.000 0.366 0.314
N5 N 0.000 0.490 0.100
```

Largest 10 diffraction maxima, sorted by position, 2θ = 10–90°:
27.2°, rel. 26; 28.4°, rel. 77; 30.9°, rel. 53; 31.3°, rel. 29; 32.1°, rel. 69; 33.2°, rel. 47; 36.7°, rel. 100; 40.1°, rel. 40; 45.2°, rel. 30; 56.3°, rel. 24

***

# 2
Structure and computed X-ray powder pattern of Pm2UZnRh6 (a crystal structure in Alexandria, relaxed with PBE; Cu Kα).
No peak broadening, texture or thermal motion is included.

```
data_Pm2UZnRh6
_cell_length_a 9.760
_cell_length_b 5.633
_cell_length_c 8.300
_cell_angle_alpha 90.00
_cell_angle_beta 112.97
_cell_angle_gamma 90.00
_space_group_name_H-M_alt 'C 1 2/m 1'
_space_group_IT_number 12
loop_
_space_group_symop_operation_xyz
'x,y,z'
'-x,-y,-z'
'-x,y,-z'
'x,-y,z'
'x+1/2,y+1/2,z'
'-x+1/2,-y+1/2,-z'
'-x+1/2,y+1/2,-z'
'x+1/2,-y+1/2,z'
loop_
_atom_site_label
_atom_site_type_symbol
_atom_site_fract_x
_atom_site_fract_y
_atom_site_fract_z
Pm1 Pm 0.205 0.000 0.116
U1 U 0.000 0.000 0.500
Zn1 Zn 0.000 0.500 0.000
Rh1 Rh 0.005 0.255 0.259
Rh2 Rh 0.250 0.000 0.742
```

Largest 10 diffraction maxima, sorted by position, 2θ = 10–90°:
18.6°, rel. 31; 19.8°, rel. 37; 26.7°, rel. 61; 31.8°, rel. 25; 37.7°, rel. 36; 39.8°, rel. 54; 40.2°, rel. 100; 43.6°, rel. 44; 49.0°, rel. 27; 66.4°, rel. 30

***

# 3
Structure and computed X-ray powder pattern of In11Hg17Bi (a crystal structure in Alexandria, relaxed with PBE; Cu Kα).
No peak broadening, texture or thermal motion is included.

```
data_In11Hg17Bi
_cell_length_a 9.619
_cell_length_b 17.281
_cell_length_c 10.311
_cell_angle_alpha 90.00
_cell_angle_beta 109.17
_cell_angle_gamma 90.00
_space_group_name_H-M_alt 'C 1 m 1'
_space_group_IT_number 8
loop_
_space_group_symop_operation_xyz
'x,y,z'
'x,-y,z'
'x+1/2,y+1/2,z'
'x+1/2,-y+1/2,z'
loop_
_atom_site_label
_atom_site_type_symbol
_atom_site_fract_x
_atom_site_fract_y
_atom_site_fract_z
In1 In 0.000 0.000 0.000
In2 In 0.179 0.137 0.918
In3 In 0.274 0.114 0.478
In4 In 0.351 0.408 0.708
In5 In 0.396 0.230 0.306
In6 In 0.494 0.095 0.141
Hg1 Hg 0.040 0.375 0.735
Hg2 Hg 0.043 0.148 0.182
Hg3 Hg 0.069 0.500 0.503
Hg4 Hg 0.078 0.209 0.603
Hg5 Hg 0.190 0.500 0.975
Hg6 Hg 0.202 0.311 0.043
Hg7 Hg 0.217 0.339 0.425
Hg8 Hg 0.281 0.000 0.247
Hg9 Hg 0.308 0.500 0.301
Hg10 Hg 0.349 0.000 0.840
Hg11 Hg 0.385 0.252 0.853
Bi1 Bi 0.070 0.000 0.572
```

Largest 10 diffraction maxima, sorted by position, 2θ = 10–90°:
30.2°, rel. 100; 30.3°, rel. 36; 31.0°, rel. 56; 31.4°, rel. 38; 31.9°, rel. 31; 32.6°, rel. 30; 34.6°, rel. 22; 39.5°, rel. 27; 39.7°, rel. 25; 42.6°, rel. 20

***

# 4
Structure and computed X-ray powder pattern of NdDyEr2Tm4 (a crystal structure in Alexandria, relaxed with PBE; Cu Kα).
No peak broadening, texture or thermal motion is included.

```
data_NdDyEr2Tm4
_cell_length_a 13.467
_cell_length_b 13.212
_cell_length_c 6.735
_cell_angle_alpha 90.00
_cell_angle_beta 120.01
_cell_angle_gamma 90.00
_space_group_name_H-M_alt 'C 1 2/c 1'
_space_group_IT_number 15
loop_
_space_group_symop_operation_xyz
'x,y,z'
'-x,-y,-z'
'-x,y,-z+1/2'
'x,-y,z+1/2'
'x+1/2,y+1/2,z'
'-x+1/2,-y+1/2,-z'
'-x+1/2,y+1/2,-z+1/2'
'x+1/2,-y+1/2,z+1/2'
loop_
_atom_site_label
_atom_site_type_symbol
_atom_site_fract_x
_atom_site_fract_y
_atom_site_fract_z
Nd1 Nd 0.250 0.250 0.000
Dy1 Dy 0.000 0.000 0.000
Er1 Er 0.000 0.500 0.000
Er2 Er 0.250 0.250 0.500
Tm1 Tm 0.000 0.251 0.002
Tm2 Tm 0.249 0.498 0.498
```

Largest 10 diffraction maxima, sorted by position, 2θ = 10–90°:
27.0°, rel. 46; 30.7°, rel. 100; 41.3°, rel. 89; 54.5°, rel. 20; 61.9°, rel. 27; 63.8°, rel. 12; 64.9°, rel. 24; 70.6°, rel. 18; 81.7°, rel. 12; 88.8°, rel. 11

***

# 5
Structure and computed X-ray powder pattern of IrRh2Se6 (a crystal structure in Alexandria, relaxed with PBE; Cu Kα).
No peak broadening, texture or thermal motion is included.

```
data_IrRh2Se6
_cell_length_a 6.3375
_cell_length_b 6.3375
_cell_length_c 15.5277
_cell_angle_alpha 90.00
_cell_angle_beta 90.00
_cell_angle_gamma 120.00
_space_group_name_H-M_alt 'R 3'
_space_group_IT_number 146
_space_group_name_Hall 'R 3'
loop_
_atom_site_label
_atom_site_type_symbol
_atom_site_fract_x
_atom_site_fract_y
_atom_site_fract_z
Ir1 Ir 0.0000 0.0000 0.0000
Rh1 Rh 0.0000 0.0000 0.4951
Rh2 Rh 0.0000 0.0000 0.6746
Se1 Se 0.0025 0.6835 0.2544
Se2 Se 0.0309 0.3372 0.7624
```

Largest 10 diffraction maxima, sorted by position, 2θ = 10–90°:
17.1°, rel. 21; 19.8°, rel. 44; 28.2°, rel. 39; 33.1°, rel. 100; 34.7°, rel. 19; 45.2°, rel. 88; 49.8°, rel. 69; 61.2°, rel. 31; 69.6°, rel. 23; 82.7°, rel. 19

***

# 6
Structure and computed X-ray powder pattern of Cs2TlSnAs2 (a crystal structure in Alexandria, relaxed with PBE; Cu Kα).
No peak broadening, texture or thermal motion is included.

```
data_Cs2TlSnAs2
_cell_length_a 7.748
_cell_length_b 16.020
_cell_length_c 7.417
_cell_angle_alpha 90.00
_cell_angle_beta 90.00
_cell_angle_gamma 90.00
_space_group_name_H-M_alt 'I b a m'
_space_group_IT_number 72
_space_group_name_Hall '-I 2 2c'
loop_
_atom_site_label
_atom_site_type_symbol
_atom_site_fract_x
_atom_site_fract_y
_atom_site_fract_z
Cs1 Cs 0.249 0.174 0.000
Tl1 Tl 0.000 0.000 0.250
Sn1 Sn 0.000 0.500 0.250
As1 As 0.220 0.416 0.000
```

Largest 10 diffraction maxima, sorted by position, 2θ = 10–90°:
11.0°, rel. 76; 25.5°, rel. 61; 26.5°, rel. 55; 27.8°, rel. 88; 32.1°, rel. 48; 32.9°, rel. 46; 33.4°, rel. 100; 43.4°, rel. 23; 44.6°, rel. 24; 48.1°, rel. 25

***

# 7
Structure and computed X-ray powder pattern of Ho2SiSO4 (a crystal structure in Alexandria, relaxed with PBE; Cu Kα).
No peak broadening, texture or thermal motion is included.

```
data_Ho2SiSO4
_cell_length_a 6.117
_cell_length_b 6.922
_cell_length_c 10.694
_cell_angle_alpha 90.00
_cell_angle_beta 90.00
_cell_angle_gamma 90.00
_space_group_name_H-M_alt 'P b c m'
_space_group_IT_number 57
loop_
_space_group_symop_operation_xyz
'x,y,z'
'-x,-y,-z'
'-x,-y,z+1/2'
'x,y,-z+1/2'
'x,-y+1/2,-z'
'-x,y+1/2,z'
'-x,y+1/2,-z+1/2'
'x,-y+1/2,z+1/2'
loop_
_atom_site_label
_atom_site_type_symbol
_atom_site_fract_x
_atom_site_fract_y
_atom_site_fract_z
Ho1 Ho 0.116 0.250 0.000
Ho2 Ho 0.344 0.528 0.250
Si1 Si 0.378 0.750 0.000
S1 S 0.022 0.689 0.750
O1 O 0.215 0.566 0.029
O2 O 0.461 0.238 0.623
```

Largest 10 diffraction maxima, sorted by position, 2θ = 10–90°:
21.1°, rel. 100; 22.1°, rel. 61; 25.6°, rel. 35; 29.7°, rel. 33; 30.8°, rel. 98; 33.1°, rel. 38; 33.5°, rel. 59; 36.2°, rel. 37; 45.4°, rel. 41; 52.5°, rel. 37

***

# 8
Structure and computed X-ray powder pattern of CaMgGa2 (a crystal structure in Alexandria, relaxed with PBE; Cu Kα).
No peak broadening, texture or thermal motion is included.

```
data_CaMgGa2
_cell_length_a 8.047
_cell_length_b 4.266
_cell_length_c 10.802
_cell_angle_alpha 90.00
_cell_angle_beta 90.00
_cell_angle_gamma 90.00
_space_group_name_H-M_alt 'P n m a'
_space_group_IT_number 62
loop_
_space_group_symop_operation_xyz
'x,y,z'
'-x,-y,-z'
'-x+1/2,-y,z+1/2'
'x+1/2,y,-z+1/2'
'x+1/2,-y+1/2,-z+1/2'
'-x+1/2,y+1/2,z+1/2'
'-x,y+1/2,-z'
'x,-y+1/2,z'
loop_
_atom_site_label
_atom_site_type_symbol
_atom_site_fract_x
_atom_site_fract_y
_atom_site_fract_z
Ca1 Ca 0.143 0.250 0.140
Mg1 Mg 0.011 0.750 0.391
Ga1 Ga 0.148 0.250 0.833
Ga2 Ga 0.248 0.250 0.436
```

Largest 10 diffraction maxima, sorted by position, 2θ = 10–90°:
19.8°, rel. 64; 22.1°, rel. 30; 30.5°, rel. 52; 33.2°, rel. 18; 34.4°, rel. 100; 39.7°, rel. 38; 40.6°, rel. 36; 42.0°, rel. 23; 42.4°, rel. 40; 47.2°, rel. 26

***

# 9
Structure and computed X-ray powder pattern of Ta2PAu (a crystal structure in Alexandria, relaxed with PBE; Cu Kα).
No peak broadening, texture or thermal motion is included.

```
data_Ta2PAu
_cell_length_a 3.050
_cell_length_b 3.050
_cell_length_c 7.053
_cell_angle_alpha 90.00
_cell_angle_beta 90.00
_cell_angle_gamma 90.00
_space_group_name_H-M_alt 'P 4/m m m'
_space_group_IT_number 123
_space_group_name_Hall '-P 4 2'
loop_
_atom_site_label
_atom_site_type_symbol
_atom_site_fract_x
_atom_site_fract_y
_atom_site_fract_z
Ta1 Ta 0.000 0.000 0.211
P1 P 0.500 0.500 0.000
Au1 Au 0.500 0.500 0.500
```

Largest 10 diffraction maxima, sorted by position, 2θ = 10–90°:
32.0°, rel. 37; 38.3°, rel. 15; 39.0°, rel. 100; 41.9°, rel. 48; 58.0°, rel. 18; 60.7°, rel. 16; 68.8°, rel. 13; 70.3°, rel. 8; 74.1°, rel. 22; 74.6°, rel. 31

***

# 10
Structure and computed X-ray powder pattern of Mn2CrGa2 (a crystal structure in Alexandria, relaxed with PBE; Cu Kα).
No peak broadening, texture or thermal motion is included.

```
data_Mn2CrGa2
_cell_length_a 5.918
_cell_length_b 5.918
_cell_length_c 3.876
_cell_angle_alpha 90.00
_cell_angle_beta 90.00
_cell_angle_gamma 90.00
_space_group_name_H-M_alt 'P 4/m b m'
_space_group_IT_number 127
_space_group_name_Hall '-P 4 2ab'
loop_
_atom_site_label
_atom_site_type_symbol
_atom_site_fract_x
_atom_site_fract_y
_atom_site_fract_z
Mn1 Mn 0.136 0.364 0.000
Cr1 Cr 0.000 0.000 0.000
Ga1 Ga 0.171 0.671 0.500
```

Largest 10 diffraction maxima, sorted by position, 2θ = 10–90°:
31.5°, rel. 4; 38.3°, rel. 24; 41.3°, rel. 100; 43.2°, rel. 6; 46.9°, rel. 23; 48.7°, rel. 28; 67.1°, rel. 5; 69.9°, rel. 28; 83.2°, rel. 12; 85.8°, rel. 5

***

# 11
Structure and computed X-ray powder pattern of Er2ReC2 (a crystal structure in Alexandria, relaxed with PBE; Cu Kα).
No peak broadening, texture or thermal motion is included.

```
data_Er2ReC2
_cell_length_a 6.538
_cell_length_b 5.067
_cell_length_c 9.778
_cell_angle_alpha 90.00
_cell_angle_beta 90.00
_cell_angle_gamma 90.00
_space_group_name_H-M_alt 'P n m a'
_space_group_IT_number 62
loop_
_space_group_symop_operation_xyz
'x,y,z'
'-x,-y,-z'
'-x+1/2,-y,z+1/2'
'x+1/2,y,-z+1/2'
'x+1/2,-y+1/2,-z+1/2'
'-x+1/2,y+1/2,z+1/2'
'-x,y+1/2,-z'
'x,-y+1/2,z'
loop_
_atom_site_label
_atom_site_type_symbol
_atom_site_fract_x
_atom_site_fract_y
_atom_site_fract_z
Er1 Er 0.033 0.250 0.217
Er2 Er 0.178 0.250 0.556
Re1 Re 0.218 0.250 0.868
C1 C 0.049 0.750 0.241
C2 C 0.175 0.750 0.552
```

Largest 10 diffraction maxima, sorted by position, 2θ = 10–90°:
30.7°, rel. 16; 32.6°, rel. 100; 33.0°, rel. 22; 33.9°, rel. 80; 35.5°, rel. 100; 39.0°, rel. 15; 49.2°, rel. 15; 59.7°, rel. 28; 61.9°, rel. 17; 62.6°, rel. 21